Entry 1:
This entry pairs a crystal structure of Li5V6O5F19 with its computed X-ray diffraction stick pattern. Radiation: copper Kα. Structure: DFT lattice parameters and positions (GGA+U).

Top 12 peaks for 2θ = 15–90°, in order of rising 2θ:
hkl 0 0 3, 16.4 deg, I 100; hkl 1 1 -1, 25.0 deg, I 81; hkl 1 1 2, 25.1 deg, I 38; hkl -1 1 2, 25.4 deg, I 37; hkl 0 0 6, 33.1 deg, I 17; hkl 0 2 1, 33.2 deg, I 13; hkl 1 0 -6, 37.5 deg, I 8; hkl 2 -1 1, 39.2 deg, I 10; hkl 1 -1 7, 48.0 deg, I 8; hkl 2 2 1, 48.4 deg, I 13; hkl -2 2 1, 48.7 deg, I 17; hkl 0 0 9, 50.5 deg, I 11

Cell and atoms:
```
data_Li5V6O5F19
_chemical_formula_sum 'Li5 V6 O5 F19'
_cell_length_a 5.211
_cell_length_b 5.406
_cell_length_c 16.425
_cell_angle_alpha 81.93
_cell_angle_beta 89.55
_cell_angle_gamma 89.63
_symmetry_space_group_name_H-M 'P 1'
_symmetry_Int_Tables_number 1
loop_
_symmetry_equiv_pos_as_xyz
'x,y,z'
loop_
_atom_site_label
_atom_site_type_symbol
_atom_site_fract_x
_atom_site_fract_y
_atom_site_fract_z
Li1 Li 0.000 0.000 0.000
Li2 Li 0.005 0.642 0.674
Li3 Li 0.273 0.714 0.374
Li4 Li 0.464 0.551 0.985
Li5 Li 0.516 0.224 0.654
V1 V 0.179 0.732 0.162
V2 V 0.191 0.378 0.833
V3 V 0.251 0.041 0.506
V4 V 0.689 0.839 0.835
V5 V 0.711 0.210 0.165
V6 V 0.758 0.535 0.497
O1 O 0.022 0.714 0.479
O2 O 0.435 0.276 0.531
O3 O 0.438 0.634 0.855
O4 O 0.925 0.936 0.138
O5 O 0.940 0.581 0.812
F1 F 0.002 0.065 0.829
F2 F 0.007 0.426 0.140
F3 F 0.128 0.935 0.616
F4 F 0.135 0.645 0.273
F5 F 0.161 0.306 0.952
F6 F 0.279 0.773 0.046
F7 F 0.286 0.401 0.719
F8 F 0.314 0.047 0.393
F9 F 0.414 0.999 0.184
F10 F 0.499 0.507 0.174
F11 F 0.501 0.145 0.851
F12 F 0.519 0.782 0.530
F13 F 0.598 0.568 0.394
F14 F 0.637 0.274 0.053
F15 F 0.660 0.933 0.720
F16 F 0.770 0.792 0.953
F17 F 0.786 0.163 0.269
F18 F 0.803 0.439 0.617
F19 F 0.931 0.224 0.476
```

=====

Entry 2:
This entry pairs a crystal structure of Li2VO2F with its computed X-ray diffraction stick pattern. Radiation: copper Kα. Structure: DFT lattice parameters and positions (GGA+U).

Top 12 peaks for 2θ = 15–90°, in order of rising 2θ:
hkl 1 1 -1, 18.9 deg, I 100; hkl 0 0 2, 19.6 deg, I 13; hkl 0 2 1, 23.3 deg, I 21; hkl 1 1 2, 30.7 deg, I 12; hkl 1 1 -3, 30.9 deg, I 10; hkl 1 3 -1, 35.7 deg, I 14; hkl 2 0 2, 42.5 deg, I 36; hkl 2 0 -4, 42.8 deg, I 34; hkl 0 4 0, 43.0 deg, I 36; hkl 2 4 2, 62.0 deg, I 19; hkl 2 4 -4, 62.2 deg, I 18; hkl 4 0 -2, 62.4 deg, I 9

Cell and atoms:
```
data_Li2VO2F
_chemical_formula_sum 'Li16 V8 O16 F8'
_cell_length_a 5.956
_cell_length_b 8.422
_cell_length_c 9.520
_cell_angle_alpha 90.00
_cell_angle_beta 107.80
_cell_angle_gamma 90.00
_symmetry_space_group_name_H-M 'C 1 c 1'
_symmetry_Int_Tables_number 9
loop_
_symmetry_equiv_pos_as_xyz
'x,y,z'
'x,-y,z+1/2'
'x+1/2,y+1/2,z'
'x+1/2,-y+1/2,z+1/2'
loop_
_atom_site_label
_atom_site_type_symbol
_atom_site_fract_x
_atom_site_fract_y
_atom_site_fract_z
Li1 Li 0.000 0.120 0.000
Li2 Li 0.182 0.127 0.373
Li3 Li 0.332 0.125 0.671
Li4 Li 0.487 0.129 0.980
V1 V 0.171 0.376 0.861
V2 V 0.341 0.375 0.181
O1 O 0.023 0.380 0.015
O2 O 0.157 0.140 0.833
O3 O 0.177 0.388 0.334
O4 O 0.493 0.372 0.018
F1 F 0.334 0.126 0.185
F2 F 0.345 0.376 0.688
```

=====

Entry 3:
This entry pairs a crystal structure of LiV5O7F with its computed X-ray diffraction stick pattern. Radiation: copper Kα. Structure: DFT lattice parameters and positions (GGA+U).

Top 12 peaks for 2θ = 15–90°, in order of rising 2θ:
hkl 1 0 1, 17.8 deg, I 75; hkl 0 0 3, 18.2 deg, I 33; hkl 0 1 2, 20.7 deg, I 25; hkl 0 2 1, 34.3 deg, I 47; hkl 1 1 3, 34.6 deg, I 97; hkl 0 1 5, 35.1 deg, I 43; hkl 0 2 4, 42.1 deg, I 100; hkl 0 3 3, 55.2 deg, I 23; hkl 1 2 5, 55.5 deg, I 28; hkl 0 2 7, 56.0 deg, I 16; hkl 2 2 0, 60.3 deg, I 57; hkl 2 0 8, 61.7 deg, I 48

Cell and atoms:
```
data_LiV5O7F
_chemical_formula_sum 'Li3 V15 O21 F3'
_cell_length_a 6.1375
_cell_length_b 6.1375
_cell_length_c 14.6005
_cell_angle_alpha 90.00
_cell_angle_beta 90.00
_cell_angle_gamma 120.00
_symmetry_space_group_name_H-M 'R 3 m'
_symmetry_Int_Tables_number 160
_symmetry_space_group_name_Hall 'R 3 -2"'
loop_
_atom_site_label
_atom_site_type_symbol
_atom_site_fract_x
_atom_site_fract_y
_atom_site_fract_z
Li1 Li 0.0000 0.0000 0.0000
V1 V 0.0000 0.0000 0.2310
V2 V 0.0000 0.0000 0.6196
V3 V 0.0018 0.5009 0.1090
O1 O 0.0000 0.0000 0.3669
O2 O 0.0220 0.5110 0.3753
O3 O 0.1782 0.3563 0.1928
F1 F 0.0000 0.0000 0.8616
```

=====

Entry 4:
This entry pairs a crystal structure of Li6V2O5F2 with its computed X-ray diffraction stick pattern. Radiation: copper Kα. Structure: DFT lattice parameters and positions (GGA+U).

Top 12 peaks for 2θ = 15–90°, in order of rising 2θ:
hkl 1 0 0, 17.4 deg, I 16; hkl 0 1 0, 17.6 deg, I 86; hkl 1 0 -1, 18.8 deg, I 44; hkl 1 -1 1, 19.1 deg, I 47; hkl 1 0 -2, 24.0 deg, I 25; hkl 1 -1 2, 24.3 deg, I 25; hkl -1 1 2, 26.6 deg, I 17; hkl 0 1 2, 27.8 deg, I 30; hkl 2 0 -3, 42.9 deg, I 52; hkl 0 2 2, 43.5 deg, I 100; hkl 2 2 -1, 62.5 deg, I 13; hkl 2 -4 1, 63.3 deg, I 26

Cell and atoms:
```
data_Li6V2O5F2
_chemical_formula_sum 'Li12 V4 O10 F4'
_cell_length_a 5.871
_cell_length_b 5.878
_cell_length_c 9.877
_cell_angle_alpha 99.08
_cell_angle_beta 90.45
_cell_angle_gamma 119.22
_symmetry_space_group_name_H-M 'P 1'
_symmetry_Int_Tables_number 1
loop_
_symmetry_equiv_pos_as_xyz
'x,y,z'
loop_
_atom_site_label
_atom_site_type_symbol
_atom_site_fract_x
_atom_site_fract_y
_atom_site_fract_z
Li1 Li 0.000 0.000 0.000
Li2 Li 0.005 0.557 0.998
Li3 Li 0.139 0.274 0.713
Li4 Li 0.182 0.997 0.493
Li5 Li 0.333 0.742 0.225
Li6 Li 0.359 0.273 0.211
Li7 Li 0.447 0.997 0.005
Li8 Li 0.584 0.715 0.710
Li9 Li 0.593 0.280 0.692
Li10 Li 0.744 0.552 0.491
Li11 Li 0.759 0.012 0.510
Li12 Li 0.846 0.257 0.199
V1 V 0.112 0.773 0.735
V2 V 0.227 0.509 0.469
V3 V 0.472 0.503 0.971
V4 V 0.842 0.746 0.229
O1 O 0.032 0.635 0.357
O2 O 0.159 0.894 0.129
O3 O 0.299 0.639 0.854
O4 O 0.303 0.139 0.856
O5 O 0.405 0.376 0.576
O6 O 0.527 0.636 0.348
O7 O 0.662 0.389 0.095
O8 O 0.662 0.863 0.099
O9 O 0.921 0.891 0.630
O10 O 0.944 0.416 0.606
F1 F 0.152 0.374 0.090
F2 F 0.426 0.896 0.603
F3 F 0.795 0.627 0.854
F4 F 0.999 0.131 0.356
```

=====

Entry 5:
This entry pairs a crystal structure of Li4V8O13F3 with its computed X-ray diffraction stick pattern. Radiation: copper Kα. Structure: DFT lattice parameters and positions (GGA+U).

Top 12 peaks for 2θ = 15–90°, in order of rising 2θ:
hkl 0 1 0, 17.8 deg, I 100; hkl 1 0 -1, 17.8 deg, I 46; hkl 1 -1 1, 18.3 deg, I 50; hkl 1 0 3, 34.4 deg, I 17; hkl 2 0 0, 34.6 deg, I 26; hkl -1 2 1, 34.7 deg, I 18; hkl 2 0 2, 41.9 deg, I 42; hkl 0 2 -4, 42.2 deg, I 40; hkl -2 2 2, 42.5 deg, I 39; hkl 2 2 -2, 60.2 deg, I 13; hkl 0 2 4, 60.4 deg, I 13; hkl 4 -2 0, 62.0 deg, I 22

Cell and atoms:
```
data_Li4V8O13F3
_chemical_formula_sum 'Li4 V8 O13 F3'
_cell_length_a 5.989
_cell_length_b 5.998
_cell_length_c 10.523
_cell_angle_alpha 106.13
_cell_angle_beta 90.80
_cell_angle_gamma 118.30
_symmetry_space_group_name_H-M 'P 1'
_symmetry_Int_Tables_number 1
loop_
_symmetry_equiv_pos_as_xyz
'x,y,z'
loop_
_atom_site_label
_atom_site_type_symbol
_atom_site_fract_x
_atom_site_fract_y
_atom_site_fract_z
Li1 Li 0.000 0.000 0.000
Li2 Li 0.165 0.221 0.390
Li3 Li 0.502 0.986 0.505
Li4 Li 0.677 0.228 0.889
V1 V 0.082 0.112 0.690
V2 V 0.083 0.611 0.197
V3 V 0.085 0.614 0.697
V4 V 0.343 0.605 0.946
V5 V 0.583 0.610 0.196
V6 V 0.584 0.111 0.197
V7 V 0.593 0.632 0.686
V8 V 0.821 0.619 0.449
O1 O 0.009 0.383 0.817
O2 O 0.164 0.841 0.574
O3 O 0.225 0.404 0.075
O4 O 0.226 0.383 0.592
O5 O 0.445 0.849 0.299
O6 O 0.460 0.812 0.813
O7 O 0.492 0.368 0.317
O8 O 0.674 0.851 0.076
O9 O 0.708 0.404 0.584
O10 O 0.716 0.863 0.580
O11 O 0.722 0.371 0.093
O12 O 0.940 0.816 0.317
O13 O 0.948 0.853 0.797
F1 F 0.214 0.858 0.071
F2 F 0.463 0.361 0.817
F3 F 0.953 0.362 0.321
```

=====

Entry 6:
This entry pairs a crystal structure of LiVOF3 with its computed X-ray diffraction stick pattern. Radiation: copper Kα. Structure: DFT lattice parameters and positions (GGA+U).

Top 12 peaks for 2θ = 15–90°, in order of rising 2θ:
hkl 0 0 1, 15.7 deg, I 59; hkl 0 1 0, 18.3 deg, I 100; hkl 0 1 -1, 20.1 deg, I 51; hkl 1 0 -1, 22.6 deg, I 41; hkl 1 0 1, 24.8 deg, I 42; hkl 1 -1 1, 25.5 deg, I 26; hkl 1 1 -1, 28.3 deg, I 21; hkl -1 1 1, 30.2 deg, I 19; hkl 2 0 0, 35.9 deg, I 29; hkl -1 1 2, 42.8 deg, I 43; hkl 1 -2 2, 43.1 deg, I 41; hkl 2 1 0, 43.7 deg, I 38

Cell and atoms:
```
data_LiVOF3
_chemical_formula_sum 'Li2 V2 O2 F6'
_cell_length_a 5.102
_cell_length_b 5.164
_cell_length_c 5.951
_cell_angle_alpha 107.37
_cell_angle_beta 91.93
_cell_angle_gamma 99.78
_symmetry_space_group_name_H-M 'P 1'
_symmetry_Int_Tables_number 1
loop_
_symmetry_equiv_pos_as_xyz
'x,y,z'
loop_
_atom_site_label
_atom_site_type_symbol
_atom_site_fract_x
_atom_site_fract_y
_atom_site_fract_z
Li1 Li 0.000 0.000 0.000
Li2 Li 0.342 0.843 0.428
V1 V 0.291 0.497 0.828
V2 V 0.764 0.440 0.541
O1 O 0.124 0.662 0.653
O2 O 0.445 0.258 0.567
F1 F 0.193 0.753 0.114
F2 F 0.336 0.268 0.006
F3 F 0.654 0.709 0.860
F4 F 0.661 0.688 0.399
F5 F 0.865 0.212 0.270
F6 F 0.931 0.241 0.748
```